(1)
ZrSn: simulated powder XRD pattern (Cu Kα, 1.54184 Å), based on the GGA-PBE geometry in the Materials Project.
No peak broadening, texture or thermal motion is included.

Atomic structure:
```
16
Lattice="5.315 0.000 0.000 0.000 6.018 0.000 0.000 0.000 11.693" Properties=species:S:1:pos:R:3 pbc="T T T"
Zr 1.329 0.007 0.865
Zr 1.329 3.002 0.865
Zr 1.329 4.514 3.836
Zr 1.329 4.514 9.425
Zr 3.986 1.505 2.268
Zr 3.986 1.505 7.857
Zr 3.986 3.016 10.828
Zr 3.986 6.011 10.828
Sn 1.329 0.030 6.634
Sn 1.329 1.505 3.509
Sn 1.329 1.505 9.881
Sn 1.329 2.979 6.634
Sn 3.986 3.039 5.059
Sn 3.986 4.514 1.812
Sn 3.986 4.514 8.183
Sn 3.986 5.988 5.059
```

Principal peaks in the range 15° ≤ 2θ ≤ 90°, most intense first:
| 2θ (°) | I/Imax |
| --- | --- |
| 37.6 | 100.0 |
| 35.0 | 90.7 |
| 33.7 | 58.2 |
| 33.5 | 46.6 |
| 48.3 | 33.4 |
| 62.9 | 22.3 |
| 72.9 | 21.6 |
| 67.2 | 18.8 |
| 61.2 | 18.4 |
| 56.2 | 16.0 |

=====

(2)
BaZrInSbO6: simulated powder XRD pattern (Cu Kα, 1.54184 Å), based on the GGA-PBE geometry in the Materials Project.
No peak broadening, texture or thermal motion is included.

Atomic structure:
```
10
Lattice="0.000 4.163 4.163 4.163 0.000 4.163 4.163 4.163 0.000" Properties=species:S:1:pos:R:3 pbc="T T T"
Ba 0.000 0.000 0.000
Zr 6.245 6.245 6.245
In 4.163 4.163 4.163
Sb 2.082 2.082 2.082
O 2.082 2.082 0.052
O 2.082 0.052 2.082
O 4.111 2.082 2.082
O 0.052 2.082 2.082
O 2.082 4.111 2.082
O 2.082 2.082 4.111
```

Principal peaks in the range 15° ≤ 2θ ≤ 90°, most intense first:
| 2θ (°) | I/Imax |
| --- | --- |
| 30.4 | 100.0 |
| 53.9 | 39.6 |
| 43.5 | 31.0 |
| 87.7 | 20.8 |
| 63.2 | 18.9 |
| 71.7 | 17.1 |
| 79.8 | 6.2 |
| 37.4 | 3.6 |
| 18.5 | 1.4 |
| 75.8 | 0.9 |

=====

(3)
Er4MgRh: simulated powder XRD pattern (Cu Kα, 1.54184 Å), based on the GGA-PBE geometry in the Materials Project.
No peak broadening, texture or thermal motion is included.

Atomic structure:
```
24
Lattice="0.000 6.818 6.818 6.818 0.000 6.818 6.818 6.818 0.000" Properties=species:S:1:pos:R:3 pbc="T T T"
Er 6.818 6.818 2.532
Er 6.818 2.532 6.818
Er 11.103 6.818 6.818
Er 5.507 5.507 5.507
Er 8.129 8.129 5.507
Er 8.129 5.507 8.129
Er 10.227 10.227 7.670
Er 10.227 7.670 10.227
Er 12.783 10.227 10.227
Er 5.507 8.129 8.129
Er 2.532 6.818 6.818
Er 6.818 11.103 6.818
Er 6.818 6.818 11.103
Er 7.670 10.227 10.227
Er 10.227 12.783 10.227
Er 10.227 10.227 12.783
Mg 2.328 2.328 2.328
Mg 4.489 4.489 2.328
Mg 4.489 2.328 4.489
Mg 2.328 4.489 4.489
Rh 8.296 5.339 5.339
Rh 5.339 8.296 5.339
Rh 5.339 5.339 8.296
Rh 8.296 8.296 8.296
```

Principal peaks in the range 15° ≤ 2θ ≤ 90°, most intense first:
| 2θ (°) | I/Imax |
| --- | --- |
| 34.2 | 100.0 |
| 32.2 | 57.2 |
| 57.3 | 53.2 |
| 28.5 | 46.6 |
| 37.3 | 31.6 |
| 86.5 | 16.8 |
| 88.4 | 16.2 |
| 55.1 | 15.1 |
| 58.6 | 14.7 |
| 68.5 | 12.0 |

=====

(4)
K2ZrSi3O9: simulated powder XRD pattern (Cu Kα, 1.54184 Å), based on the GGA-PBE geometry in the Materials Project.
No peak broadening, texture or thermal motion is included.

Atomic structure:
```
30
Lattice="7.030 0.000 0.000 -3.515 6.088 0.000 0.000 0.000 10.364" Properties=species:S:1:pos:R:3 pbc="T T T"
K 0.000 4.059 0.592
K 0.000 4.059 4.591
K 3.515 2.029 5.774
K 3.515 2.029 9.773
Zr 0.000 0.000 0.000
Zr 0.000 0.000 5.182
Si -0.464 2.355 7.773
Si -1.244 5.313 7.773
Si 1.807 1.579 2.591
Si 1.708 4.509 7.773
Si 4.759 0.775 2.591
Si 3.979 3.734 2.591
O -0.755 1.561 6.394
O -0.755 1.561 9.153
O -1.492 3.670 7.773
O -1.786 5.962 6.394
O -1.786 5.962 9.153
O 0.974 1.435 1.211
O 0.974 1.435 3.971
O 1.082 2.961 7.773
O 3.106 0.543 2.591
O 0.409 5.545 7.773
O 2.433 3.127 2.591
O 2.541 4.654 6.394
O 2.541 4.654 9.153
O 5.301 0.126 1.211
O 5.301 0.126 3.971
O 5.007 2.418 2.591
O 4.270 4.528 1.211
O 4.270 4.528 3.971
```

Principal peaks in the range 15° ≤ 2θ ≤ 90°, most intense first:
| 2θ (°) | I/Imax |
| --- | --- |
| 30.7 | 100.0 |
| 22.5 | 47.1 |
| 29.7 | 36.6 |
| 25.3 | 26.8 |
| 30.6 | 24.9 |
| 53.2 | 24.5 |
| 48.2 | 21.6 |
| 26.8 | 18.6 |
| 44.7 | 16.7 |
| 40.1 | 14.3 |

=====

(5)
Li4P2O7: simulated powder XRD pattern (Cu Kα, 1.54184 Å), based on the GGA-PBE geometry in the Materials Project.
No peak broadening, texture or thermal motion is included.

Atomic structure:
```
52
Lattice="8.597 0.000 0.000 0.000 5.301 0.000 -5.263 0.000 12.922" Properties=species:S:1:pos:R:3 pbc="T T T"
Li -0.092 0.995 1.058
Li -2.724 1.655 7.519
Li -3.773 0.956 10.457
Li -1.142 1.694 3.996
Li 2.085 0.711 3.020
Li -0.546 1.940 9.481
Li -0.978 0.838 11.880
Li 1.653 1.812 5.419
Li 1.681 3.489 7.503
Li 4.312 4.462 1.042
Li 3.880 3.361 3.441
Li 1.248 4.590 9.902
Li 4.476 3.606 8.927
Li 7.107 4.344 2.465
Li 6.057 3.645 5.403
Li 3.426 4.306 11.864
P 1.438 3.477 1.426
P -1.194 4.474 7.887
P -2.506 3.474 11.541
P 0.125 4.477 5.080
P 3.209 0.824 7.842
P 5.840 1.827 1.381
P 4.527 0.827 5.035
P 1.896 1.823 11.496
O -2.427 3.576 7.687
O 0.204 4.375 1.225
O -0.849 3.653 4.217
O -3.480 4.297 10.678
O -3.424 3.051 12.822
O -0.792 4.900 6.361
O -1.491 0.521 8.525
O 1.141 2.129 2.064
O 0.482 0.525 4.436
O -2.150 2.125 10.897
O -0.021 3.719 8.547
O 2.610 4.232 2.086
O 1.321 3.699 5.593
O -1.311 4.252 12.054
O 4.644 1.048 0.868
O 2.013 1.602 7.329
O 0.724 1.069 10.837
O 3.355 1.581 4.376
O 5.484 3.176 2.025
O 2.852 4.775 8.487
O 2.193 3.171 10.858
O 4.824 4.779 4.397
O 4.126 0.401 6.561
O 6.757 2.249 0.100
O 6.814 1.003 2.244
O 4.182 1.647 8.706
O 3.130 0.926 11.697
O 5.761 1.724 5.236
```

Principal peaks in the range 15° ≤ 2θ ≤ 90°, most intense first:
| 2θ (°) | I/Imax |
| --- | --- |
| 20.1 | 100.0 |
| 28.3 | 50.7 |
| 30.9 | 45.1 |
| 30.7 | 42.3 |
| 27.6 | 41.2 |
| 22.3 | 39.4 |
| 26.7 | 36.1 |
| 18.1 | 35.6 |
| 21.9 | 15.5 |
| 52.5 | 11.4 |

=====

(6)
YMg2: simulated powder XRD pattern (Cu Kα, 1.54184 Å), based on the GGA-PBE geometry in the Materials Project.
No peak broadening, texture or thermal motion is included.

Atomic structure:
```
6
Lattice="3.332 0.000 0.000 -1.666 2.886 0.000 0.000 0.000 16.709" Properties=species:S:1:pos:R:3 pbc="T T T"
Y 0.000 1.924 4.177
Y 1.666 0.962 12.532
Mg 0.000 1.924 9.673
Mg 0.000 1.924 15.391
Mg 1.666 0.962 1.319
Mg 1.666 0.962 7.036
```

Principal peaks in the range 15° ≤ 2θ ≤ 90°, most intense first:
| 2θ (°) | I/Imax |
| --- | --- |
| 35.0 | 100.0 |
| 31.5 | 29.0 |
| 32.1 | 28.0 |
| 31.0 | 23.4 |
| 59.2 | 20.4 |
| 65.3 | 20.2 |
| 21.3 | 19.7 |
| 55.1 | 17.4 |
| 45.3 | 15.8 |
| 67.0 | 14.1 |

=====

(7)
MoWS4: simulated powder XRD pattern (Cu Kα, 1.54184 Å), based on the GGA-PBE geometry in the Materials Project.
No peak broadening, texture or thermal motion is included.

Atomic structure:
```
12
Lattice="3.191 0.000 0.000 -1.596 2.763 0.000 0.000 0.000 35.843" Properties=species:S:1:pos:R:3 pbc="T T T"
Mo 0.000 1.842 7.820
Mo 1.596 0.921 28.024
W 0.000 1.842 21.289
W 1.596 0.921 14.555
S 0.000 1.842 12.983
S 0.000 1.842 16.127
S 0.000 1.842 26.458
S 0.000 1.842 29.588
S 1.596 0.921 6.255
S 1.596 0.921 9.386
S 1.596 0.921 19.717
S 1.596 0.921 22.861
```

Principal peaks in the range 15° ≤ 2θ ≤ 90°, most intense first:
| 2θ (°) | I/Imax |
| --- | --- |
| 38.3 | 100.0 |
| 46.5 | 61.0 |
| 32.4 | 48.7 |
| 33.3 | 36.7 |
| 57.8 | 34.5 |
| 59.3 | 32.3 |
| 34.8 | 27.8 |
| 48.5 | 26.9 |
| 32.8 | 21.7 |
| 37.0 | 19.7 |